The following is a theoretical powder diffractogram of MgMn2O5. It was derived from a crystal structure in the Materials Project, relaxed with GGA+U, using Cu Kα, 1.54184 Å.
Intensities are scaled so that the largest is 100.

Atomic structure:
Lattice parameters (Å, degrees): 3.571 11.482 4.433 90.00 90.00 90.00
Space group Pmmn (No. 59, origin choice 2)
Symmetry-distinct sites (fractional):
Mg (0.250, 0.250, 0.116) (multiplicity 2)
Mn (0.250, 0.597, 0.433) (multiplicity 4)
O (0.250, 0.077, 0.455) (multiplicity 4)
O (0.250, 0.633, 0.048) (multiplicity 4)
O (0.250, 0.750, 0.574) (multiplicity 2)

Principal peaks in the range 2θ = 10–90°, by angle:
d = 4.433 Å, I 100, (0 0 1); d = 3.509 Å, I 42, (0 2 1); d = 3.410 Å, I 45, (1 1 0); d = 2.897 Å, I 28, (0 3 1); d = 2.781 Å, I 33, (1 0 1); d = 2.703 Å, I 32, (1 1 1); d = 2.611 Å, I 53, (1 3 0); d = 2.217 Å, I 30, (0 0 2); d = 1.786 Å, I 33, (2 0 0); d = 1.756 Å, I 28, (0 6 1)